Structure and calculated PXRD pattern of Rb2SrZn2 (DFT lattice parameters and positions (GGA-PBE); Cu Kα (λ = 1.5418 Å)).

Largest 12 diffraction maxima, sorted by position, 10° ≤ 2θ ≤ 90°:
22.65°, I = 13, (0 0 4); 26.81°, I = 100, (1 1 2); 33.37°, I = 31, (1 0 5); 34.56°, I = 37, (2 0 0); 41.72°, I = 10, (2 0 4); 43.97°, I = 11, (1 0 7); 48.78°, I = 14, (2 1 5); 49.45°, I = 8, (2 0 6); 49.68°, I = 13, (2 2 0); 57.09°, I = 10, (2 1 7); 57.35°, I = 23, (3 1 2); 82.56°, I = 9, (2 0 12)

```
data_Rb2SrZn2
_space_group_name_H-M_alt 'I 4/m m m'
_space_group_IT_number 139
_space_group_name_Hall '-I 4 2'
_cell_length_a 5.1905
_cell_length_b 5.1905
_cell_length_c 15.7057
_cell_angle_alpha 90.00
_cell_angle_beta 90.00
_cell_angle_gamma 90.00
loop_
_atom_site_label
_atom_site_type_symbol
_atom_site_fract_x
_atom_site_fract_y
_atom_site_fract_z
Rb1 Rb 0.0000 0.5000 0.2500
Sr1 Sr 0.0000 0.0000 0.0000
Zn1 Zn 0.0000 0.0000 0.4200
```

---

Structure and calculated PXRD pattern of Li3CuF6 (DFT lattice parameters and positions (GGA-PBE); Cu Kα (λ = 1.5418 Å)).

Largest 12 diffraction maxima, sorted by position, 10° ≤ 2θ ≤ 90°:
20.72°, I = 100, (0 1 1); 21.00°, I = 39, (1 0 0); 21.13°, I = 40, (1 0 -2); 23.39°, I = 39, (0 0 2); 24.55°, I = 66, (1 1 -1); 34.08°, I = 18, (1 1 1); 39.58°, I = 36, (2 1 -2); 39.86°, I = 33, (1 0 -4); 40.80°, I = 31, (1 2 0); 41.32°, I = 33, (2 1 -1); 50.33°, I = 21, (2 2 -2); 56.14°, I = 21, (2 2 0)

```
data_Li3CuF6
_space_group_name_H-M_alt 'P 1 21/c 1'
_space_group_IT_number 14
_space_group_name_Hall '-P 2ybc'
_cell_length_a 5.0682
_cell_length_b 5.1894
_cell_length_c 9.1118
_cell_angle_alpha 90.00
_cell_angle_beta 123.40
_cell_angle_gamma 90.00
loop_
_atom_site_label
_atom_site_type_symbol
_atom_site_fract_x
_atom_site_fract_y
_atom_site_fract_z
Li1 Li 0.0000 0.0000 0.0000
Li2 Li 0.2302 0.0432 0.7330
Cu1 Cu 0.5000 0.0000 0.5000
F1 F 0.1253 0.1778 0.4454
F2 F 0.2467 0.6925 0.4137
F3 F 0.4003 0.0875 0.2672
```

---

Structure and calculated PXRD pattern of Pr4Rh (DFT lattice parameters and positions (GGA-PBE); Cu Kα (λ = 1.5418 Å)).

Largest 12 diffraction maxima, sorted by position, 10° ≤ 2θ ≤ 90°:
20.06°, I = 17, (2 0 0); 28.52°, I = 33, (2 2 0); 29.00°, I = 100, (2 0 2); 32.08°, I = 54, (3 0 1); 32.95°, I = 41, (1 0 3); 38.13°, I = 28, (3 2 1); 38.41°, I = 15, (3 1 2); 40.77°, I = 23, (4 0 0); 48.92°, I = 15, (3 2 3); 50.81°, I = 16, (4 2 2); 52.80°, I = 21, (4 3 1); 58.70°, I = 14, (2 1 5)

```
data_Pr4Rh
_space_group_name_H-M_alt 'I 41/a m d'
_space_group_IT_number 141
_cell_length_a 8.8522
_cell_length_b 8.8522
_cell_length_c 8.5694
_cell_angle_alpha 90.00
_cell_angle_beta 90.00
_cell_angle_gamma 90.00
loop_
_space_group_symop_operation_xyz
'x,y,z'
'-x,-y,-z'
'-y+1/4,x+3/4,z+1/4'
'y+1/4,-x+3/4,-z+1/4'
'-x+1/2,-y,z+1/2'
'x+1/2,y,-z+1/2'
'y+1/4,-x+1/4,z+3/4'
'-y+1/4,x+1/4,-z+3/4'
'x,-y,-z'
'-x,y,z'
'-y+1/4,-x+1/4,-z+3/4'
'y+1/4,x+1/4,z+3/4'
'-x+1/2,y,-z+1/2'
'x+1/2,-y,z+1/2'
'y+1/4,x+3/4,-z+1/4'
'-y+1/4,-x+3/4,z+1/4'
'x+1/2,y+1/2,z+1/2'
'-x+1/2,-y+1/2,-z+1/2'
'-y+3/4,x+1/4,z+3/4'
'y+3/4,-x+1/4,-z+3/4'
'-x,-y+1/2,z'
'x,y+1/2,-z'
'y+3/4,-x+3/4,z+1/4'
'-y+3/4,x+3/4,-z+1/4'
'x+1/2,-y+1/2,-z+1/2'
'-x+1/2,y+1/2,z+1/2'
'-y+3/4,-x+3/4,-z+1/4'
'y+3/4,x+3/4,z+1/4'
'-x,y+1/2,-z'
'x,-y+1/2,z'
'y+3/4,x+1/4,-z+3/4'
'-y+3/4,-x+1/4,z+3/4'
loop_
_atom_site_label
_atom_site_type_symbol
_atom_site_fract_x
_atom_site_fract_y
_atom_site_fract_z
Pr1 Pr 0.0000 0.0505 0.2086
Rh1 Rh 0.0000 0.2500 0.8750
```

---

Structure and calculated PXRD pattern of La7ScAl8O24 (DFT lattice parameters and positions (GGA-PBE); Cu Kα (λ = 1.5418 Å)).

Largest 12 diffraction maxima, sorted by position, 10° ≤ 2θ ≤ 90°:
16.53°, I = 4, (1 1 0); 23.46°, I = 42, (2 0 0); 33.42°, I = 100, (2 2 0); 41.24°, I = 43, (2 2 2); 47.99°, I = 38, (4 0 0); 54.09°, I = 20, (4 2 0); 59.75°, I = 39, (4 2 2); 70.22°, I = 22, (4 4 0); 75.18°, I = 10, (6 0 0); 80.03°, I = 17, (6 2 0); 84.82°, I = 13, (6 2 2); 89.56°, I = 8, (4 4 4)

```
data_La7ScAl8O24
_space_group_name_H-M_alt 'P m -3 m'
_space_group_IT_number 221
_space_group_name_Hall '-P 4 2 3'
_cell_length_a 7.5825
_cell_length_b 7.5825
_cell_length_c 7.5825
_cell_angle_alpha 90.00
_cell_angle_beta 90.00
_cell_angle_gamma 90.00
loop_
_atom_site_label
_atom_site_type_symbol
_atom_site_fract_x
_atom_site_fract_y
_atom_site_fract_z
La1 La 0.0000 0.0000 0.0000
La2 La 0.0000 0.0000 0.5000
La3 La 0.0000 0.5000 0.5000
Sc1 Sc 0.5000 0.5000 0.5000
Al1 Al 0.2523 0.2523 0.2523
O1 O 0.0000 0.2510 0.2510
O2 O 0.2541 0.2541 0.5000
```